Entry 1:
CaZrNbFeO7: theoretical X-ray powder pattern (Cu Kα (weighted mean of Kα1 and Kα2)), based on DFT lattice parameters and positions (PBE+U).
No peak broadening, texture or thermal motion is included.

Crystal structure
```
CaZrNbFeO7
1.0
6.478 -3.730 0.000
6.478 3.730 0.000
-2.170 0.000 11.393
Ca Zr Nb Fe O
4 4 4 4 28
direct
0.123 0.877 0.500
0.127 0.373 0.514
0.373 0.127 0.014
0.877 0.123 0.000
0.366 0.624 0.040
0.603 0.892 0.490
0.624 0.366 0.540
0.892 0.603 0.990
0.498 0.748 0.766
0.748 0.498 0.266
0.768 0.990 0.252
0.990 0.768 0.752
0.087 0.238 0.756
0.238 0.087 0.256
0.258 0.488 0.272
0.488 0.258 0.772
0.020 0.291 0.913
0.040 0.782 0.295
0.059 0.390 0.298
0.086 0.741 0.928
0.167 0.503 0.092
0.173 0.442 0.730
0.185 0.848 0.724
0.229 0.957 0.105
0.291 0.020 0.413
0.336 0.503 0.447
0.390 0.059 0.798
0.442 0.173 0.230
0.459 0.554 0.219
0.490 0.735 0.929
0.503 0.167 0.592
0.503 0.336 0.947
0.508 0.755 0.594
0.554 0.459 0.719
0.674 0.792 0.307
0.735 0.490 0.429
0.741 0.086 0.428
0.747 0.907 0.080
0.755 0.508 0.094
0.782 0.040 0.795
0.792 0.674 0.807
0.848 0.185 0.224
0.907 0.747 0.580
0.957 0.229 0.605
```

Top 8 peaks for 5 to 70 degrees two-theta, by angle:
3.354 Å, I 117
3.025 Å, I 1000
2.848 Å, I 264
2.579 Å, I 264
1.869 Å, I 206
1.782 Å, I 248
1.562 Å, I 118
1.511 Å, I 126

---

Entry 2:
Mn3V2Co3O16: theoretical X-ray powder pattern (Cu Kα (weighted mean of Kα1 and Kα2)), based on DFT lattice parameters and positions (PBE+U).
No peak broadening, texture or thermal motion is included.

Crystal structure
```
Mn3V2Co3O16
1.0
4.927 -2.856 0.000
4.927 2.856 0.000
-0.133 0.000 8.833
Mn V Co O
3 2 3 16
direct
0.000 0.000 0.000
0.340 0.828 0.501
0.828 0.340 0.501
0.497 0.497 0.788
0.830 0.830 0.286
0.339 0.339 0.499
0.512 0.996 0.999
0.996 0.512 0.999
0.125 0.693 0.125
0.170 0.170 0.603
0.175 0.175 0.098
0.214 0.643 0.625
0.340 0.340 0.884
0.343 0.821 0.883
0.502 0.502 0.389
0.514 0.996 0.382
0.643 0.214 0.625
0.651 0.651 0.626
0.692 0.692 0.123
0.693 0.125 0.125
0.821 0.343 0.883
0.831 0.831 0.892
0.996 0.514 0.382
0.997 0.997 0.381
```

Top 8 peaks for 5 to 70 degrees two-theta, by angle:
4.417 Å, I 1000
4.328 Å, I 696
4.299 Å, I 437
2.382 Å, I 580
2.164 Å, I 293
1.900 Å, I 250
1.886 Å, I 250
1.424 Å, I 402